This entry pairs a crystal structure of Nd2Co17 with its theoretical PXRD pattern. Radiation: Cu Kα. Structure: a crystal structure in Alexandria, relaxed with PBE.

```
data_Nd2Co17
_chemical_formula_sum 'Nd6 Co51'
_space_group_name_H-M_alt 'R -3 m'
_space_group_IT_number 166
_space_group_name_Hall '-R 3 2"'
_cell_length_a 8.3795
_cell_length_b 8.3795
_cell_length_c 12.1780
_cell_angle_alpha 90.00
_cell_angle_beta 90.00
_cell_angle_gamma 120.00
loop_
_atom_site_label
_atom_site_type_symbol
_atom_site_fract_x
_atom_site_fract_y
_atom_site_fract_z
Nd1 Nd 0.0000 0.0000 0.1553
Co1 Co 0.0000 0.0000 0.4041
Co2 Co 0.0000 0.2849 0.5000
Co3 Co 0.0000 0.5000 0.0000
Co4 Co 0.0056 0.5028 0.3458
```

The 8 most intense peaks (10° ≤ 2θ ≤ 90°), low angle first:
- 2θ 30.67, I = 37.8
- 2θ 37.17, I = 39.4
- 2θ 38.60, I = 33.9
- 2θ 43.19, I = 68.7
- 2θ 43.55, I = 100.0
- 2θ 44.46, I = 19.5
- 2θ 44.65, I = 33.1
- 2θ 48.93, I = 25.4



This entry pairs a crystal structure of Nd3CoNi3 with its theoretical PXRD pattern. Radiation: Cu Kα. Structure: a crystal structure in Alexandria, relaxed with PBE.

```
data_Nd3CoNi3
_chemical_formula_sum 'Nd12 Co4 Ni12'
_space_group_name_H-M_alt 'C 1 2/m 1'
_space_group_IT_number 12
_cell_length_a 10.5524
_cell_length_b 3.9642
_cell_length_c 14.4491
_cell_angle_alpha 90.00
_cell_angle_beta 107.91
_cell_angle_gamma 90.00
loop_
_space_group_symop_operation_xyz
'x,y,z'
'-x,-y,-z'
'-x,y,-z'
'x,-y,z'
'x+1/2,y+1/2,z'
'-x+1/2,-y+1/2,-z'
'-x+1/2,y+1/2,-z'
'x+1/2,-y+1/2,z'
loop_
_atom_site_label
_atom_site_type_symbol
_atom_site_fract_x
_atom_site_fract_y
_atom_site_fract_z
Nd1 Nd 0.0484 0.0000 0.2717
Nd2 Nd 0.1703 0.0000 0.5775
Nd3 Nd 0.1844 0.5000 0.0968
Co1 Co 0.0959 0.5000 0.8723
Ni1 Ni 0.0377 0.5000 0.4244
Ni2 Ni 0.0495 0.0000 0.9382
Ni3 Ni 0.1621 0.5000 0.7304
```

The 8 most intense peaks (10° ≤ 2θ ≤ 90°), low angle first:
- 2θ 26.54, I = 23.0
- 2θ 29.32, I = 26.5
- 2θ 32.85, I = 81.6
- 2θ 33.58, I = 21.4
- 2θ 34.10, I = 100.0
- 2θ 39.32, I = 29.1
- 2θ 42.23, I = 31.0
- 2θ 45.78, I = 33.6



This entry pairs a crystal structure of NdCoNi3 with its theoretical PXRD pattern. Radiation: Cu Kα. Structure: a crystal structure in Alexandria, relaxed with PBE.

```
data_NdCoNi3
_chemical_formula_sum 'Nd2 Co2 Ni6'
_space_group_name_H-M_alt 'P -3 m 1'
_space_group_IT_number 164
_space_group_name_Hall '-P 3 2"'
_cell_length_a 5.8506
_cell_length_b 5.8506
_cell_length_c 5.2088
_cell_angle_alpha 90.00
_cell_angle_beta 90.00
_cell_angle_gamma 120.00
loop_
_atom_site_label
_atom_site_type_symbol
_atom_site_fract_x
_atom_site_fract_y
_atom_site_fract_z
Nd1 Nd 0.3333 0.6667 0.2482
Co1 Co 0.0000 0.0000 0.0000
Co2 Co 0.0000 0.0000 0.5000
Ni1 Ni 0.1961 0.3922 0.7483
```

The 8 most intense peaks (10° ≤ 2θ ≤ 90°), low angle first:
- 2θ 30.56, I = 35.8
- 2θ 34.44, I = 25.9
- 2θ 38.88, I = 28.9
- 2θ 39.56, I = 100.0
- 2θ 50.24, I = 32.8
- 2θ 50.80, I = 19.0
- 2θ 63.62, I = 17.3
- 2θ 65.13, I = 21.7